Record 1
Structure and computed powder XRD pattern of SmEr12Sc2 (a GGA-PBE-relaxed structure; Cu Kα).
Kinematic intensities with the Lorentz-polarization factor, no thermal factor.

Most intense lines, 2θ from 15° to 90°, sorted by position:
2θ = 30.58°, rel. 24; 2θ = 31.01°, rel. 18; 2θ = 31.57°, rel. 28; 2θ = 32.25°, rel. 51; 2θ = 32.84°, rel. 100; 2θ = 34.68°, rel. 34; 2θ = 35.06°, rel. 25; 2θ = 45.04°, rel. 18; 2θ = 57.88°, rel. 20; 2θ = 61.96°, rel. 16

```
data_SmEr12Sc2
_chemical_formula_sum 'Sm1 Er12 Sc2'
_space_group_name_H-M_alt 'P 1'
_space_group_IT_number 1
_cell_length_a 23.1394
_cell_length_b 23.1394
_cell_length_c 5.5520
_cell_angle_alpha 90.00
_cell_angle_beta 90.00
_cell_angle_gamma 171.18
loop_
_space_group_symop_operation_xyz
'x,y,z'
loop_
_atom_site_label
_atom_site_type_symbol
_atom_site_fract_x
_atom_site_fract_y
_atom_site_fract_z
_atom_site_occupancy
Sm1 Sm 0.0000 0.0000 0.0000 1
Er1 Er 0.0977 0.9023 0.5000 1
Er2 Er 0.2211 0.7789 0.5000 1
Er3 Er 0.2899 0.7101 0.0000 1
Er4 Er 0.3394 0.6606 0.5000 1
Er5 Er 0.4236 0.5764 0.0000 1
Er6 Er 0.4657 0.5343 0.5000 1
Er7 Er 0.5343 0.4657 0.5000 1
Er8 Er 0.5764 0.4236 0.0000 1
Er9 Er 0.6606 0.3394 0.5000 1
Er10 Er 0.7101 0.2899 0.0000 1
Er11 Er 0.7789 0.2211 0.5000 1
Er12 Er 0.9023 0.0977 0.5000 1
Sc1 Sc 0.1427 0.8573 0.0000 1
Sc2 Sc 0.8573 0.1427 0.0000 1
```

Record 2
Structure and computed powder XRD pattern of Tb6Sm2ErSc (a GGA-PBE-relaxed structure; Cu Kα).
Kinematic intensities with the Lorentz-polarization factor, no thermal factor.

Most intense lines, 2θ from 15° to 90°, sorted by position:
2θ = 28.10°, rel. 17; 2θ = 28.92°, rel. 41; 2θ = 30.77°, rel. 92; 2θ = 31.70°, rel. 42; 2θ = 31.87°, rel. 100; 2θ = 32.69°, rel. 19; 2θ = 33.70°, rel. 14; 2θ = 33.97°, rel. 40; 2θ = 38.46°, rel. 20; 2θ = 61.19°, rel. 14

```
data_Tb6Sm2ErSc
_chemical_formula_sum 'Tb12 Sm4 Er2 Sc2'
_space_group_name_H-M_alt 'P 1'
_space_group_IT_number 1
_cell_length_a 8.7000
_cell_length_b 8.7000
_cell_length_c 9.5538
_cell_angle_alpha 94.36
_cell_angle_beta 94.36
_cell_angle_gamma 117.50
loop_
_space_group_symop_operation_xyz
'x,y,z'
loop_
_atom_site_label
_atom_site_type_symbol
_atom_site_fract_x
_atom_site_fract_y
_atom_site_fract_z
_atom_site_occupancy
Tb1 Tb 0.0088 0.5700 0.1914 1
Tb2 Tb 0.1260 0.7496 0.5558 1
Tb3 Tb 0.2504 0.8740 0.9442 1
Tb4 Tb 0.2933 0.5033 0.3825 1
Tb5 Tb 0.4300 0.9912 0.3086 1
Tb6 Tb 0.4967 0.7067 0.1175 1
Tb7 Tb 0.5033 0.2933 0.8825 1
Tb8 Tb 0.5700 0.0088 0.6914 1
Tb9 Tb 0.7067 0.4967 0.6175 1
Tb10 Tb 0.7496 0.1260 0.0558 1
Tb11 Tb 0.8740 0.2504 0.4442 1
Tb12 Tb 0.9912 0.4300 0.8086 1
Sm1 Sm 0.1988 0.2999 0.0448 1
Sm2 Sm 0.2999 0.1988 0.5448 1
Sm3 Sm 0.7001 0.8012 0.4552 1
Sm4 Sm 0.8012 0.7001 0.9552 1
Er1 Er 0.0190 0.9810 0.2500 1
Er2 Er 0.9810 0.0190 0.7500 1
Sc1 Sc 0.4114 0.5886 0.7500 1
Sc2 Sc 0.5886 0.4114 0.2500 1
```